Record 1
For Sr4La4CrNi3O15, the GGA+U geometry in Alexandria gives the theoretical X-ray powder pattern in this record (Cu Kα (λ = 1.5418 Å)).
Neutral-atom scattering factors, no anomalous dispersion.

Main lines, sorted by position (10° ≤ 2θ ≤ 90°):
- 2θ 31.17, I 33
- 2θ 31.30, I 100
- 2θ 32.95, I 93
- 2θ 42.22, I 24
- 2θ 43.57, I 18
- 2θ 43.68, I 14
- 2θ 47.14, I 22
- 2θ 47.44, I 23
- 2θ 57.89, I 24
- 2θ 65.36, I 14

Atomic structure:
Cell: 7.712 3.833 12.844 Å, 90.00 90.18 90.00°
Element x y z (fractional)
Sr1 0.013 0.000 0.150
Sr2 0.245 0.500 0.358
Sr3 0.755 0.500 0.642
Sr4 0.987 0.000 0.850
La1 0.241 0.500 0.636
La2 0.482 0.000 0.856
La3 0.518 0.000 0.144
La4 0.759 0.500 0.364
Cr1 0.500 0.000 0.500
Ni1 0.000 0.000 0.500
Ni2 0.249 0.500 0.005
Ni3 0.751 0.500 0.995
O1 0.000 0.500 0.500
O2 0.023 0.000 0.664
O3 0.213 0.000 0.989
O4 0.245 0.500 0.166
O5 0.255 0.000 0.496
O6 0.273 0.500 0.821
O7 0.485 0.000 0.666
O8 0.500 0.500 0.000
O9 0.500 0.500 0.500
O10 0.515 0.000 0.334
O11 0.727 0.500 0.179
O12 0.745 0.000 0.504
O13 0.755 0.500 0.834
O14 0.787 0.000 0.011
O15 0.977 0.000 0.336

Record 2
For LaCrO3, the GGA+U geometry in Alexandria gives the theoretical X-ray powder pattern in this record (Cu Kα (λ = 1.5418 Å)).
Neutral-atom scattering factors, no anomalous dispersion.

Main lines, sorted by position (10° ≤ 2θ ≤ 90°):
- 2θ 24.81, I 100
- 2θ 31.59, I 55
- 2θ 40.58, I 27
- 2θ 47.14, I 54
- 2θ 52.31, I 27
- 2θ 56.26, I 17
- 2θ 67.43, I 11
- 2θ 71.66, I 13
- 2θ 76.37, I 12
- 2θ 80.45, I 11

Atomic structure:
Cell: 5.664 5.664 5.264 Å, 90.00 90.00 120.00°
Element x y z (fractional)
La1 0.333 0.667 0.250
La2 0.667 0.333 0.750
Cr1 0.000 0.000 0.250
Cr2 0.000 0.000 0.750
O1 0.000 0.275 0.000
O2 0.000 0.725 0.500
O3 0.275 0.000 0.000
O4 0.275 0.275 0.500
O5 0.725 0.000 0.500
O6 0.725 0.725 0.000

Record 3
For LaCr3O12, the GGA+U geometry in Alexandria gives the theoretical X-ray powder pattern in this record (Cu Kα (λ = 1.5418 Å)).
Neutral-atom scattering factors, no anomalous dispersion.

Main lines, sorted by position (10° ≤ 2θ ≤ 90°):
- 2θ 13.46, I 100
- 2θ 17.24, I 38
- 2θ 18.62, I 25
- 2θ 22.79, I 62
- 2θ 27.12, I 18
- 2θ 28.04, I 47
- 2θ 34.41, I 14
- 2θ 36.39, I 19
- 2θ 40.95, I 22
- 2θ 46.56, I 15

Atomic structure:
Cell: 10.732 10.732 10.732 Å, 46.96 46.96 46.96°
Element x y z (fractional)
La1 0.000 0.000 0.000
La2 0.500 0.500 0.500
Cr1 0.084 0.376 0.714
Cr2 0.214 0.876 0.584
Cr3 0.376 0.714 0.084
Cr4 0.584 0.214 0.876
Cr5 0.714 0.084 0.376
Cr6 0.876 0.584 0.214
O1 0.078 0.451 0.104
O2 0.104 0.078 0.451
O3 0.154 0.891 0.766
O4 0.155 0.212 0.668
O5 0.168 0.712 0.655
O6 0.212 0.668 0.155
O7 0.266 0.391 0.654
O8 0.305 0.944 0.956
O9 0.391 0.654 0.266
O10 0.444 0.805 0.456
O11 0.451 0.104 0.078
O12 0.456 0.444 0.805
O13 0.578 0.604 0.951
O14 0.604 0.951 0.578
O15 0.654 0.266 0.391
O16 0.655 0.168 0.712
O17 0.668 0.155 0.212
O18 0.712 0.655 0.168
O19 0.766 0.154 0.891
O20 0.805 0.456 0.444
O21 0.891 0.766 0.154
O22 0.944 0.956 0.305
O23 0.951 0.578 0.604
O24 0.956 0.305 0.944